Record 1
The following is a calculated powder diffractogram of MoPdRuRh. It was derived from a DFT-relaxed cell (GGA-PBE, the Materials Project), using Cu Kα X-rays.

Main lines, low angle first (10 to 90 degrees two-theta):
| d/Å | two_theta | I_rel |
| --- | --- | --- |
| 2.407 | 37.36 | 25 |
| 2.229 | 40.46 | 25 |
| 2.118 | 42.69 | 100 |
| 1.636 | 56.24 | 14 |
| 1.390 | 67.39 | 17 |
| 1.265 | 75.12 | 17 |
| 1.179 | 81.64 | 19 |
| 1.162 | 83.13 | 14 |

Structural model:
```
4
Lattice="2.7794 0.0000 0.0000 -1.3897 2.4070 0.0000 0.0000 0.0000 8.9173" Properties=species:S:1:pos:R:3 pbc="T T T"
Mo 0.0000 0.0000 0.0000
Pd 0.0000 0.0000 4.4979
Ru 0.0000 1.6047 6.7849
Rh 0.0000 1.6047 2.1634
```

=====

Record 2
The following is a calculated powder diffractogram of Sm2Co5B2. It was derived from a DFT-relaxed cell (GGA-PBE, the Materials Project), using Cu Kα X-rays.

Main lines, low angle first (10 to 90 degrees two-theta):
| d/Å | two_theta | I_rel |
| --- | --- | --- |
| 2.548 | 35.23 | 41 |
| 2.393 | 37.59 | 100 |
| 2.206 | 40.90 | 27 |
| 2.193 | 41.16 | 79 |
| 2.022 | 44.83 | 84 |
| 1.439 | 64.78 | 42 |
| 1.274 | 74.48 | 26 |
| 1.259 | 75.51 | 24 |

Structural model:
```
36
Lattice="5.0954 0.0000 0.0000 -2.5477 4.4128 0.0000 0.0000 0.0000 19.9324" Properties=species:S:1:pos:R:3 pbc="T T T"
Sm 0.0000 2.9419 0.4361
Sm 0.0000 2.9419 3.4829
Sm 0.0000 2.9419 6.4833
Sm 0.0000 2.9419 9.5301
Sm 2.5477 1.4709 10.4023
Sm 2.5477 1.4709 13.4491
Sm 2.5477 1.4709 16.4495
Sm 2.5477 1.4709 19.4963
Co 0.0000 0.0000 0.0000
Co 0.0000 0.0000 9.9662
Co 0.0000 1.4251 12.1015
Co 0.0000 1.4251 17.7971
Co -1.3136 3.7003 12.1015
Co -1.3136 3.7003 17.7971
Co 0.0000 1.4782 14.9493
Co -1.2675 3.6737 14.9493
Co 1.2341 0.7125 2.1353
Co 1.2341 0.7125 7.8309
Co 1.2802 0.7391 4.9831
Co 1.2675 3.6737 14.9493
Co 1.3136 3.7003 12.1015
Co 1.3136 3.7003 17.7971
Co 3.8153 0.7391 4.9831
Co 2.5477 2.9345 4.9831
Co 3.8613 0.7125 2.1353
Co 3.8613 0.7125 7.8309
Co 2.5477 2.9877 2.1353
Co 2.5477 2.9877 7.8309
B 0.0000 0.0000 3.5434
B 0.0000 0.0000 6.4228
B 0.0000 0.0000 13.5096
B 0.0000 0.0000 16.3890
B 0.0000 2.9419 13.4484
B 0.0000 2.9419 16.4502
B 2.5477 1.4709 3.4822
B 2.5477 1.4709 6.4840
```

=====

Record 3
The following is a calculated powder diffractogram of Cs2NaSbCl6. It was derived from a DFT-relaxed cell (GGA-PBE, the Materials Project), using Cu Kα X-rays.

Main lines, low angle first (10 to 90 degrees two-theta):
| d/Å | two_theta | I_rel |
| --- | --- | --- |
| 6.328 | 14.00 | 22 |
| 3.875 | 22.95 | 100 |
| 3.164 | 28.21 | 41 |
| 2.740 | 32.68 | 71 |
| 2.237 | 40.31 | 46 |
| 1.937 | 46.90 | 49 |
| 1.733 | 52.83 | 22 |
| 1.465 | 63.52 | 25 |

Structural model:
```
10
Lattice="0.0000 5.4799 5.4799 5.4799 0.0000 5.4799 5.4799 5.4799 0.0000" Properties=species:S:1:pos:R:3 pbc="T T T"
Cs 2.7399 2.7399 2.7399
Cs 8.2198 8.2198 8.2198
Na 0.0000 0.0000 0.0000
Sb 5.4799 5.4799 5.4799
Cl 5.4799 5.4799 2.8116
Cl 5.4799 2.8116 5.4799
Cl 8.1481 5.4799 5.4799
Cl 2.8116 5.4799 5.4799
Cl 5.4799 8.1481 5.4799
Cl 5.4799 5.4799 8.1481
```

=====

Record 4
The following is a calculated powder diffractogram of Ca2SnS4. It was derived from a DFT-relaxed cell (GGA-PBE, the Materials Project), using Cu Kα X-rays.

Main lines, low angle first (10 to 90 degrees two-theta):
| d/Å | two_theta | I_rel |
| --- | --- | --- |
| 5.902 | 15.01 | 100 |
| 3.407 | 26.15 | 74 |
| 3.271 | 27.27 | 93 |
| 2.755 | 32.50 | 71 |
| 2.360 | 38.14 | 94 |
| 1.966 | 46.17 | 60 |
| 1.940 | 46.83 | 63 |
| 1.703 | 53.84 | 41 |

Structural model:
```
21
Lattice="11.8036 0.0000 0.0000 -5.9018 10.2222 0.0000 0.0000 0.0000 3.9290" Properties=species:S:1:pos:R:3 pbc="T T T"
Ca 0.0000 0.0000 0.0000
Ca -1.7252 2.9882 1.9645
Ca 3.4505 0.0000 1.9645
Ca 0.0000 6.8148 1.9645
Ca 5.9018 3.4074 1.9645
Ca 4.1766 7.2340 1.9645
Sn -3.9019 6.7584 0.0000
Sn 1.9999 3.4639 0.0000
Sn 7.8039 0.0000 0.0000
S -3.1005 5.3702 1.9645
S -4.8841 8.4595 1.9645
S 1.0177 1.7627 1.9645
S -0.2697 4.5328 0.0000
S -1.8414 8.1894 0.0000
S 4.0604 2.0329 0.0000
S 2.8013 4.8520 1.9645
S 6.2010 0.0000 1.9645
S 2.1111 7.7223 0.0000
S 5.6321 5.6894 0.0000
S 8.0129 2.5000 0.0000
S 9.7682 0.0000 1.9645
```

=====

Record 5
The following is a calculated powder diffractogram of P2Pb2O7. It was derived from a DFT-relaxed cell (GGA-PBE, the Materials Project), using Cu Kα X-rays.

Main lines, low angle first (10 to 90 degrees two-theta):
| d/Å | two_theta | I_rel |
| --- | --- | --- |
| 4.534 | 19.58 | 72 |
| 3.860 | 23.04 | 37 |
| 3.561 | 25.01 | 54 |
| 3.527 | 25.25 | 36 |
| 3.429 | 25.99 | 66 |
| 3.401 | 26.20 | 53 |
| 3.226 | 27.65 | 100 |
| 3.172 | 28.14 | 46 |

Structural model:
```
44
Lattice="7.0887 0.0000 0.0000 -0.0761 7.1607 0.0000 -0.1577 -1.3467 12.9038" Properties=species:S:1:pos:R:3 pbc="T T T"
P 0.5938 1.9191 1.2868
P 1.7612 5.8162 5.1674
P 2.1130 4.1762 7.6398
P 2.1804 0.9336 11.7714
P 4.6745 4.8804 1.1325
P 4.7419 1.6377 5.2641
P 5.0937 -0.0023 7.7364
P 6.2610 3.8948 11.6171
Pb 0.9597 2.2051 4.7535
Pb 1.1561 5.4438 1.8162
Pb 1.6726 0.4829 8.3347
Pb 2.6911 4.6228 11.0664
Pb 4.1638 1.1912 1.8374
Pb 5.1823 5.3311 4.5691
Pb 5.6987 0.3701 11.0876
Pb 5.8952 3.6089 8.1503
O 0.3206 2.9799 2.3527
O 0.4457 4.4079 12.3107
O 0.6026 4.9281 4.6659
O 1.2178 2.9997 7.1728
O 1.2316 0.1081 10.8695
O 1.2621 5.1717 8.4608
O 1.3626 -0.0771 5.8849
O 1.4551 2.7506 0.1610
O 1.4979 0.7928 1.8235
O 2.6083 4.9370 6.2739
O 2.7057 2.2012 11.1235
O 2.7736 6.0556 4.0443
O 3.3252 0.0305 12.3024
O 3.3674 3.7161 8.3624
O 3.4875 2.0979 4.5414
O 3.5297 5.7835 0.6014
O 4.0813 -0.2416 8.8595
O 4.1492 3.6128 1.7803
O 4.2466 0.8769 6.6299
O 5.3570 5.0212 11.0804
O 5.3998 3.0634 12.7428
O 5.4922 5.8911 7.0189
O 5.5928 0.6423 4.4430
O 5.6232 5.7059 2.0344
O 5.6371 2.8142 5.7311
O 6.2522 0.8859 8.2379
O 6.4092 1.4060 0.5931
O 6.5343 2.8340 10.5511
```